Entry 1:
SmTh2In3Hg6: computed X-ray diffraction stick pattern (CuKα), based on a crystal structure in Alexandria, relaxed with GGA-PBE.
Intensities are scaled so that the largest is 100.

Structure:
Cell: 4.451 4.451 16.049 Å, 90.00 90.00 90.00°
Positions (direct):
1 Sm 0.000 0.000 0.000
2 Th 0.000 0.000 0.381
3 Th 0.000 0.000 0.619
4 In 0.500 0.500 0.085
5 In 0.500 0.500 0.500
6 In 0.500 0.500 0.915
7 Hg 0.000 0.500 0.203
8 Hg 0.000 0.500 0.797
9 Hg 0.500 0.000 0.203
10 Hg 0.500 0.000 0.797
11 Hg 0.500 0.500 0.326
12 Hg 0.500 0.500 0.674

Principal peaks in the range 10 to 80 degrees two-theta, most intense first:
two_theta, Rel. int.
33.0, 100
40.5, 76
34.4, 65
30.5, 50
54.2, 46
11.0, 40
40.1, 27
58.7, 26

Entry 2:
SmTlInHg: computed X-ray diffraction stick pattern (CuKα), based on a crystal structure in Alexandria, relaxed with GGA-PBE.
Intensities are scaled so that the largest is 100.

Structure:
Cell: 4.670 4.688 4.745 Å, 90.00 90.00 90.00°
Positions (direct):
1 Sm 0.000 0.000 0.000
2 Tl 0.500 0.500 0.000
3 In 0.500 0.000 0.500
4 Hg 0.000 0.500 0.500

Principal peaks in the range 10 to 80 degrees two-theta, most intense first:
two_theta, Rel. int.
33.0, 100
37.9, 17
38.4, 17
38.6, 16
65.4, 14
66.1, 14
66.3, 14
69.2, 12

Entry 3:
In8SnHg6: computed X-ray diffraction stick pattern (CuKα), based on a crystal structure in Alexandria, relaxed with GGA-PBE.
Intensities are scaled so that the largest is 100.

Structure:
Cell: 7.236 7.331 8.266 Å, 83.23 75.94 81.36°
Positions (direct):
1 In 0.121 0.022 0.128
2 In 0.183 0.217 0.611
3 In 0.247 0.573 0.221
4 In 0.372 0.770 0.823
5 In 0.628 0.230 0.177
6 In 0.753 0.427 0.779
7 In 0.817 0.783 0.389
8 In 0.879 0.978 0.872
9 Sn 0.500 0.500 0.500
10 Hg 0.070 0.679 0.643
11 Hg 0.305 0.336 0.921
12 Hg 0.386 0.929 0.362
13 Hg 0.614 0.071 0.638
14 Hg 0.695 0.664 0.079
15 Hg 0.930 0.321 0.357

Principal peaks in the range 10 to 80 degrees two-theta, most intense first:
two_theta, Rel. int.
38.0, 100
30.6, 94
29.9, 76
33.8, 66
31.7, 59
38.1, 44
32.0, 43
34.9, 42

Entry 4:
In3SnHg12: computed X-ray diffraction stick pattern (CuKα), based on a crystal structure in Alexandria, relaxed with GGA-PBE.
Intensities are scaled so that the largest is 100.

Structure:
Cell: 5.008 5.008 16.811 Å, 90.00 90.00 90.00°
Positions (direct):
1 In 0.000 0.000 0.000
2 In 0.000 0.000 0.254
3 In 0.000 0.000 0.746
4 Sn 0.000 0.000 0.500
5 Hg 0.000 0.500 0.127
6 Hg 0.000 0.500 0.376
7 Hg 0.000 0.500 0.624
8 Hg 0.000 0.500 0.873
9 Hg 0.500 0.000 0.127
10 Hg 0.500 0.000 0.376
11 Hg 0.500 0.000 0.624
12 Hg 0.500 0.000 0.873
13 Hg 0.500 0.500 0.000
14 Hg 0.500 0.500 0.251
15 Hg 0.500 0.500 0.500
16 Hg 0.500 0.500 0.749

Principal peaks in the range 10 to 80 degrees two-theta, most intense first:
two_theta, Rel. int.
33.1, 100
35.9, 40
62.7, 32
57.2, 21
51.6, 14
43.0, 12
69.4, 12
72.6, 11

Entry 5:
In3Sn2Hg4: computed X-ray diffraction stick pattern (CuKα), based on a crystal structure in Alexandria, relaxed with GGA-PBE.
Intensities are scaled so that the largest is 100.

Structure:
Cell: 3.363 3.363 24.952 Å, 90.00 90.00 120.00°
Positions (direct):
1 In 0.000 0.000 0.000
2 In 0.000 0.000 0.341
3 In 0.667 0.333 0.672
4 Sn 0.667 0.333 0.112
5 Sn 0.667 0.333 0.889
6 Hg 0.000 0.000 0.560
7 Hg 0.000 0.000 0.779
8 Hg 0.667 0.333 0.233
9 Hg 0.667 0.333 0.452

Principal peaks in the range 10 to 80 degrees two-theta, most intense first:
two_theta, Rel. int.
35.7, 100
34.0, 77
32.3, 51
30.7, 47
64.9, 42
54.6, 37
45.2, 32
60.9, 28

Entry 6:
In3Sn2Hg4: computed X-ray diffraction stick pattern (CuKα), based on a crystal structure in Alexandria, relaxed with GGA-PBE.
Intensities are scaled so that the largest is 100.

Structure:
Cell: 5.553 7.125 7.350 Å, 66.71 70.36 87.51°
Positions (direct):
1 In 0.000 0.000 0.000
2 In 0.299 0.283 0.462
3 In 0.701 0.717 0.538
4 Sn 0.470 0.704 0.037
5 Sn 0.530 0.296 0.963
6 Hg 0.104 0.500 0.777
7 Hg 0.273 0.904 0.367
8 Hg 0.727 0.096 0.633
9 Hg 0.896 0.500 0.223

Principal peaks in the range 10 to 80 degrees two-theta, most intense first:
two_theta, Rel. int.
32.3, 100
30.4, 85
34.0, 63
34.9, 48
38.1, 46
32.6, 35
36.2, 34
45.0, 29

Entry 7:
In2Sn3Hg5: computed X-ray diffraction stick pattern (CuKα), based on a crystal structure in Alexandria, relaxed with GGA-PBE.
Intensities are scaled so that the largest is 100.

Structure:
Cell: 3.317 6.469 13.346 Å, 94.61 91.87 100.66°
Positions (direct):
1 In 0.100 0.199 0.199
2 In 0.900 0.801 0.801
3 Sn 0.293 0.601 0.597
4 Sn 0.500 0.000 0.000
5 Sn 0.707 0.399 0.403
6 Hg 0.105 0.199 0.700
7 Hg 0.307 0.599 0.100
8 Hg 0.500 0.000 0.500
9 Hg 0.693 0.401 0.900
10 Hg 0.895 0.801 0.300

Principal peaks in the range 10 to 80 degrees two-theta, most intense first:
two_theta, Rel. int.
31.5, 100
30.2, 56
31.2, 51
41.5, 24
42.0, 23
43.5, 21
44.4, 20
46.3, 17

Entry 8:
In4Sn2Hg3: computed X-ray diffraction stick pattern (CuKα), based on a crystal structure in Alexandria, relaxed with GGA-PBE.
Intensities are scaled so that the largest is 100.

Structure:
Cell: 3.382 3.382 24.480 Å, 90.00 90.00 120.00°
Positions (direct):
1 In 0.000 0.000 0.000
2 In 0.000 0.000 0.212
3 In 0.333 0.667 0.326
4 In 0.333 0.667 0.544
5 Sn 0.000 0.000 0.657
6 Sn 0.000 0.000 0.873
7 Hg 0.000 0.000 0.435
8 Hg 0.333 0.667 0.105
9 Hg 0.333 0.667 0.765

Principal peaks in the range 10 to 80 degrees two-theta, most intense first:
two_theta, Rel. int.
35.7, 100
33.9, 73
32.9, 50
30.5, 49
64.9, 43
54.2, 39
45.5, 31
10.8, 30

Entry 9:
In4Sn2Hg5: computed X-ray diffraction stick pattern (CuKα), based on a crystal structure in Alexandria, relaxed with GGA-PBE.
Intensities are scaled so that the largest is 100.

Structure:
Cell: 9.229 3.193 10.813 Å, 90.00 107.73 90.00°
Positions (direct):
1 In 0.084 0.000 0.322
2 In 0.395 0.000 0.854
3 In 0.605 0.000 0.146
4 In 0.916 0.000 0.678
5 Sn 0.129 0.500 0.938
6 Sn 0.871 0.500 0.062
7 Hg 0.204 0.500 0.597
8 Hg 0.331 0.500 0.213
9 Hg 0.500 0.500 0.500
10 Hg 0.669 0.500 0.787
11 Hg 0.796 0.500 0.403

Principal peaks in the range 10 to 80 degrees two-theta, most intense first:
two_theta, Rel. int.
30.1, 100
30.7, 91
33.0, 45
34.2, 40
37.4, 35
42.4, 33
44.7, 29
27.9, 25

Entry 10:
In17SnHg11: computed X-ray diffraction stick pattern (CuKα), based on a crystal structure in Alexandria, relaxed with GGA-PBE.
Intensities are scaled so that the largest is 100.

Structure:
Cell: 10.960 10.960 8.285 Å, 107.24 107.24 111.79°
Positions (direct):
1 In 0.000 0.000 0.000
2 In 0.038 0.640 0.602
3 In 0.090 0.510 0.927
4 In 0.166 0.984 0.728
5 In 0.249 0.249 0.531
6 In 0.310 0.974 0.435
7 In 0.312 0.846 0.036
8 In 0.359 0.359 0.988
9 In 0.510 0.090 0.927
10 In 0.514 0.514 0.502
11 In 0.640 0.038 0.602
12 In 0.656 0.656 0.022
13 In 0.674 0.994 0.219
14 In 0.846 0.312 0.036
15 In 0.974 0.310 0.435
16 In 0.984 0.166 0.728
17 In 0.994 0.674 0.219
18 Sn 0.787 0.787 0.516
19 Hg 0.167 0.361 0.213
20 Hg 0.303 0.706 0.495
21 Hg 0.333 0.575 0.772
22 Hg 0.361 0.167 0.213
23 Hg 0.461 0.697 0.244
24 Hg 0.575 0.333 0.772
25 Hg 0.647 0.858 0.816
26 Hg 0.697 0.461 0.244
27 Hg 0.706 0.303 0.495
28 Hg 0.858 0.647 0.816
29 Hg 0.954 0.954 0.323

Principal peaks in the range 10 to 80 degrees two-theta, most intense first:
two_theta, Rel. int.
33.0, 100
32.2, 92
33.3, 51
34.6, 50
33.2, 44
35.7, 40
35.5, 30
29.6, 30

Entry 11:
In4Sn4Hg: computed X-ray diffraction stick pattern (CuKα), based on a crystal structure in Alexandria, relaxed with GGA-PBE.
Intensities are scaled so that the largest is 100.

Structure:
Cell: 6.961 6.961 11.136 Å, 90.00 90.00 90.00°
Positions (direct):
1 In 0.010 0.750 0.010
2 In 0.250 0.510 0.490
3 In 0.250 0.990 0.490
4 In 0.490 0.750 0.010
5 In 0.510 0.250 0.990
6 In 0.750 0.010 0.510
7 In 0.750 0.490 0.510
8 In 0.990 0.250 0.990
9 Sn 0.032 0.250 0.691
10 Sn 0.250 0.032 0.191
11 Sn 0.250 0.468 0.191
12 Sn 0.468 0.250 0.691
13 Sn 0.532 0.750 0.309
14 Sn 0.750 0.532 0.809
15 Sn 0.750 0.968 0.809
16 Sn 0.968 0.750 0.309
17 Hg 0.250 0.750 0.750
18 Hg 0.750 0.250 0.250

Principal peaks in the range 10 to 80 degrees two-theta, most intense first:
two_theta, Rel. int.
35.4, 100
29.8, 89
36.5, 30
65.0, 28
52.6, 24
26.8, 24
62.7, 20
32.2, 20

Entry 12:
In2Sn4Hg: computed X-ray diffraction stick pattern (CuKα), based on a crystal structure in Alexandria, relaxed with GGA-PBE.
Intensities are scaled so that the largest is 100.

Structure:
Cell: 6.473 6.473 6.473 Å, 109.89 96.79 122.79°
Positions (direct):
1 In 0.000 0.000 0.000
2 In 0.754 0.254 0.500
3 Sn 0.065 0.555 0.095
4 Sn 0.065 0.970 0.510
5 Sn 0.460 0.555 0.490
6 Sn 0.460 0.970 0.905
7 Hg 0.522 0.522 0.000

Principal peaks in the range 10 to 80 degrees two-theta, most intense first:
two_theta, Rel. int.
31.8, 100
33.0, 69
37.8, 52
35.7, 43
34.5, 42
57.5, 33
29.9, 33
61.3, 23

Entry 13:
InSnHg4: computed X-ray diffraction stick pattern (CuKα), based on a crystal structure in Alexandria, relaxed with GGA-PBE.
Intensities are scaled so that the largest is 100.

Structure:
Cell: 3.141 3.686 14.184 Å, 90.00 94.39 90.00°
Positions (direct):
1 In 0.000 0.000 0.000
2 Sn 0.500 0.500 0.500
3 Hg 0.429 0.500 0.844
4 Hg 0.493 0.000 0.674
5 Hg 0.507 0.000 0.326
6 Hg 0.571 0.500 0.156

Principal peaks in the range 10 to 80 degrees two-theta, most intense first:
two_theta, Rel. int.
30.8, 100
28.5, 34
41.4, 31
38.2, 26
43.5, 24
37.9, 14
49.5, 14
39.1, 13